Theoretical powder diffraction line list of NdV2CuO8 for copper Kα, from the PBE+U geometry in Alexandria.
No peak broadening, texture or thermal motion is included.

Principal peaks in the range 2θ = 10–90°, by angle:
Position (°2θ)	I (rel.)	index
17.63	100.0	1 0 0
23.10	70.7	1 0 1
30.79	94.1	1 1 0
34.89	61.2	0 1 2
38.84	19.3	2 0 1
43.43	39.8	1 1 2
47.21	38.1	2 0 2
57.43	30.7	1 2 2

Crystal structure
Lattice parameters (Å, degrees): 5.8078 5.8078 5.9842 90.00 90.00 120.00
Atoms (fractional coordinates):
1 Nd 0.0000 0.0000 0.0000
2 V 0.3333 0.6667 0.6239
3 V 0.6667 0.3333 0.3761
4 Cu 0.0000 0.0000 0.5000
5 O 0.1624 0.3249 0.7126
6 O 0.1624 0.8376 0.7126
7 O 0.3249 0.1624 0.2874
8 O 0.3333 0.6667 0.3511
9 O 0.6667 0.3333 0.6489
10 O 0.6751 0.8376 0.7126
11 O 0.8376 0.1624 0.2874
12 O 0.8376 0.6751 0.2874